Entry 1:
Computed XRD peak list of BaH6PbAu2 for Cu Kα, 1.54184 Å, from a structure optimized by DFT (PBE).
No peak broadening, texture or thermal motion is included.

Principal peaks in the range 10° ≤ 2θ ≤ 90°, sorted by position:
2θ (°)  d [Å]  intensity
13.24  6.687  17
15.61  5.677  15
26.91  3.314  62
27.10  3.291  100
31.52  2.838  17
32.54  2.751  68
34.37  2.609  18
41.91  2.156  16
43.76  2.069  17
43.86  2.064  24

Structural model:
abc: 7.122 7.122 6.888
angles: 99.47 99.47 105.72
Sites, in units of the cell vectors:
Ba 0.159 0.841 0.750
Ba 0.841 0.159 0.250
H 0.056 0.624 0.337
H 0.149 0.164 0.042
H 0.164 0.149 0.542
H 0.268 0.553 0.912
H 0.376 0.944 0.163
H 0.447 0.732 0.588
H 0.553 0.268 0.412
H 0.624 0.056 0.837
H 0.732 0.447 0.088
H 0.836 0.851 0.458
H 0.851 0.836 0.958
H 0.944 0.376 0.663
Pb 0.391 0.609 0.250
Pb 0.609 0.391 0.750
Au 0.183 0.347 0.722
Au 0.347 0.183 0.222
Au 0.653 0.817 0.778
Au 0.817 0.653 0.278

***

Entry 2:
Computed XRD peak list of Ba2H6PdAu for Cu Kα, 1.54184 Å, from a structure optimized by DFT (PBE).
No peak broadening, texture or thermal motion is included.

Principal peaks in the range 10° ≤ 2θ ≤ 90°, sorted by position:
2θ (°)  d [Å]  intensity
18.67  4.753  14
30.33  2.947  100
30.80  2.903  96
31.02  2.883  94
43.10  2.099  20
43.76  2.069  19
45.12  2.010  17
54.04  1.697  39
54.46  1.685  38
55.33  1.660  37

Structural model:
abc: 5.768 5.768 5.889
angles: 120.20 120.20 88.34
Sites, in units of the cell vectors:
Ba 0.250 0.750 0.000
Ba 0.750 0.250 0.000
H 0.219 0.781 0.500
H 0.290 0.290 0.501
H 0.292 0.292 0.083
H 0.708 0.708 0.917
H 0.710 0.710 0.499
H 0.781 0.219 0.500
Pd 0.500 0.500 0.500
Au 0.000 0.000 0.500